Structure and computed X-ray diffraction stick pattern of NiC2 (a GGA-PBE-relaxed structure; λ = 1.5418 Å (Cu Kα)).
Intensities are scaled so that the largest is 100.

Main lines, in order of falling intensity (2θ from 10° to 90°):
| d/Å | I (rel.) |
| --- | --- |
| 3.692 | 100 |
| 7.384 | 92 |
| 2.034 | 78 |
| 1.604 | 34 |
| 1.836 | 31 |
| 2.116 | 24 |

Cell and atoms:
```
data_NiC2
_chemical_formula_sum 'Ni1 C2'
_symmetry_space_group_name_H-M 'P 6/m m m'
_symmetry_Int_Tables_number 191
_symmetry_space_group_name_Hall '-P 6 2'
_cell_length_a 2.4428
_cell_length_b 2.4428
_cell_length_c 7.3837
_cell_angle_alpha 90.00
_cell_angle_beta 90.00
_cell_angle_gamma 120.00
loop_
_atom_site_label
_atom_site_type_symbol
_atom_site_fract_x
_atom_site_fract_y
_atom_site_fract_z
_atom_site_occupancy
Ni1 Ni 0.0000 0.0000 0.0000 1
C1 C 0.3333 0.6667 0.5000 1
```

---

Structure and computed X-ray diffraction stick pattern of KCrP2S7 (a GGA-PBE-relaxed structure; λ = 1.5418 Å (Cu Kα)).
Intensities are scaled so that the largest is 100.

Main lines, in order of falling intensity (2θ from 10° to 90°):
| d/Å | I (rel.) |
| --- | --- |
| 6.503 | 100 |
| 2.780 | 56 |
| 1.980 | 46 |
| 3.219 | 44 |
| 2.765 | 44 |
| 3.905 | 39 |

Cell and atoms:
```
data_KCrP2S7
_chemical_formula_sum 'K2 Cr2 P4 S14'
_symmetry_space_group_name_H-M 'C 1 2 1'
_symmetry_Int_Tables_number 5
_cell_length_a 8.630
_cell_length_b 9.767
_cell_length_c 6.557
_cell_angle_alpha 90.00
_cell_angle_beta 97.36
_cell_angle_gamma 90.00
loop_
_symmetry_equiv_pos_as_xyz
'x,y,z'
'-x,y,-z'
'x+1/2,y+1/2,z'
'-x+1/2,y+1/2,-z'
loop_
_atom_site_label
_atom_site_type_symbol
_atom_site_fract_x
_atom_site_fract_y
_atom_site_fract_z
_atom_site_occupancy
K1 K 0.000 0.000 0.000 1
Cr1 Cr 0.000 0.598 0.500 1
P1 P 0.204 0.254 0.575 1
S1 S 0.000 0.127 0.500 1
S2 S 0.150 0.429 0.717 1
S3 S 0.161 0.628 0.228 1
S4 S 0.178 0.767 0.673 1
```

---

Structure and computed X-ray diffraction stick pattern of La3Zn6Ga5 (a GGA-PBE-relaxed structure; λ = 1.5418 Å (Cu Kα)).
Intensities are scaled so that the largest is 100.

Main lines, in order of falling intensity (2θ from 10° to 90°):
| d/Å | I (rel.) |
| --- | --- |
| 2.622 | 100 |
| 2.213 | 33 |
| 2.614 | 26 |
| 2.192 | 23 |
| 2.429 | 23 |
| 2.605 | 21 |

Cell and atoms:
```
data_La3Zn6Ga5
_chemical_formula_sum 'La6 Zn12 Ga10'
_symmetry_space_group_name_H-M 'P m m n'
_symmetry_Int_Tables_number 59
_cell_length_a 4.426
_cell_length_b 13.151
_cell_length_c 9.716
_cell_angle_alpha 90.00
_cell_angle_beta 90.00
_cell_angle_gamma 90.00
loop_
_symmetry_equiv_pos_as_xyz
'x,y,z'
'-x,-y,-z'
'-x+1/2,-y+1/2,z'
'x+1/2,y+1/2,-z'
'x+1/2,-y,-z'
'-x+1/2,y,z'
'-x,y+1/2,-z'
'x,-y+1/2,z'
loop_
_atom_site_label
_atom_site_type_symbol
_atom_site_fract_x
_atom_site_fract_y
_atom_site_fract_z
_atom_site_occupancy
La1 La 0.250 0.061 0.248 1
La2 La 0.250 0.750 0.248 1
Zn1 Zn 0.250 0.087 0.613 1
Zn2 Zn 0.250 0.250 0.035 1
Zn3 Zn 0.250 0.250 0.464 1
Zn4 Zn 0.250 0.599 0.982 1
Ga1 Ga 0.250 0.091 0.877 1
Ga2 Ga 0.250 0.610 0.526 1
Ga3 Ga 0.250 0.750 0.771 1
```

---

Structure and computed X-ray diffraction stick pattern of Tc2Ru (a GGA-PBE-relaxed structure; λ = 1.5418 Å (Cu Kα)).
Intensities are scaled so that the largest is 100.

Main lines, in order of falling intensity (2θ from 10° to 90°):
| d/Å | I (rel.) |
| --- | --- |
| 2.233 | 100 |
| 2.224 | 99 |
| 1.930 | 96 |
| 1.365 | 40 |
| 1.165 | 36 |
| 1.162 | 24 |

Cell and atoms:
```
data_Tc2Ru
_chemical_formula_sum 'Tc4 Ru2'
_symmetry_space_group_name_H-M 'I m m m'
_symmetry_Int_Tables_number 71
_symmetry_space_group_name_Hall '-I 2 2'
_cell_length_a 2.720
_cell_length_b 3.863
_cell_length_c 8.209
_cell_angle_alpha 90.00
_cell_angle_beta 90.00
_cell_angle_gamma 90.00
loop_
_atom_site_label
_atom_site_type_symbol
_atom_site_fract_x
_atom_site_fract_y
_atom_site_fract_z
_atom_site_occupancy
Tc1 Tc 0.000 0.000 0.166 1
Ru1 Ru 0.000 0.000 0.500 1
```

---

Q: What is the formula in the first record?
A: NiC2

---

Repeat the fourth record exactly.
Structure and computed X-ray diffraction stick pattern of Tc2Ru (a GGA-PBE-relaxed structure; λ = 1.5418 Å (Cu Kα)).
Intensities are scaled so that the largest is 100.

Main lines, in order of falling intensity (2θ from 10° to 90°):
| d/Å | I (rel.) |
| --- | --- |
| 2.233 | 100 |
| 2.224 | 99 |
| 1.930 | 96 |
| 1.365 | 40 |
| 1.165 | 36 |
| 1.162 | 24 |

Cell and atoms:
```
data_Tc2Ru
_chemical_formula_sum 'Tc4 Ru2'
_symmetry_space_group_name_H-M 'I m m m'
_symmetry_Int_Tables_number 71
_symmetry_space_group_name_Hall '-I 2 2'
_cell_length_a 2.720
_cell_length_b 3.863
_cell_length_c 8.209
_cell_angle_alpha 90.00
_cell_angle_beta 90.00
_cell_angle_gamma 90.00
loop_
_atom_site_label
_atom_site_type_symbol
_atom_site_fract_x
_atom_site_fract_y
_atom_site_fract_z
_atom_site_occupancy
Tc1 Tc 0.000 0.000 0.166 1
Ru1 Ru 0.000 0.000 0.500 1
```